For ZrScNi2, DFT lattice parameters and positions (PBE) gives the computed XRD peak list in this record (Cu Ka).

Most intense lines, 10 to 80 degrees two-theta, low angle first:
2theta, I/Imax
20.1, 45
25.4, 52
33.2, 26
38.6, 17
39.1, 1000
40.8, 221
47.6, 275
64.5, 209
69.7, 82
73.1, 141

Atomic structure:
Cell lengths 5.183, 5.183, 5.183 Å; angles 136.79, 136.79, 62.76 degrees
Fractional positions:
Zr (0.000, 0.000, 0.000)
Sc (0.750, 0.250, 0.500)
Ni (0.250, 0.750, 0.500)
Ni (0.500, 0.500, 0.000)